Simulated X-ray powder pattern
Compound: LiB6C6
Radiation: CuKα
Structure: a GGA-PBE-relaxed structure
Lines closer than 0.1° are merged.

Atomic structure:
Cell: 4.7367 4.7367 5.6488 Å, 90.00 90.00 120.00°
Space group P-31m (No. 162)
Inequivalent atoms, fractional coordinates:
Li: 0.0000 0.0000 0.0000 (multiplicity 1)
B: 0.0000 0.3355 0.6816 (multiplicity 6)
C: 0.0000 0.3329 0.3083 (multiplicity 6)

Top 6 peaks for 2θ = 10–80°, by angle:
15.69°, d = 5.649 Å, I 100; 31.68°, d = 2.824 Å, I 44; 37.99°, d = 2.368 Å, I 32; 48.34°, d = 1.883 Å, I 20; 50.28°, d = 1.815 Å, I 18; 68.64°, d = 1.367 Å, I 19

---

Simulated X-ray powder pattern
Compound: NiH6Pd8
Radiation: CuKα
Structure: a GGA-PBE-relaxed structure
Lines closer than 0.1° are merged.

Atomic structure:
Cell: 4.961 4.971 7.510 Å, 90.15 109.06 119.75°
Space group P-1 (No. 2)
Inequivalent atoms, fractional coordinates:
Ni: 0.000 0.000 0.000 (multiplicity 1)
H: 0.112 0.762 0.171 (multiplicity 2)
H: 0.177 0.937 0.828 (multiplicity 2)
H: 0.411 0.349 0.170 (multiplicity 2)
Pd: 0.107 0.219 0.667 (multiplicity 2)
Pd: 0.222 0.441 0.334 (multiplicity 2)
Pd: 0.333 0.667 0.000 (multiplicity 2)
Pd: 0.448 0.888 0.666 (multiplicity 2)

Top 6 peaks for 2θ = 10–80°, by angle:
38.45°, d = 2.341 Å, I 100; 38.85°, d = 2.318 Å, I 32; 44.65°, d = 2.030 Å, I 22; 44.81°, d = 2.023 Å, I 22; 44.99°, d = 2.015 Å, I 22; 65.57°, d = 1.424 Å, I 14

---

Simulated X-ray powder pattern
Compound: Co2SiIr
Radiation: CuKα
Structure: a GGA-PBE-relaxed structure
Lines closer than 0.1° are merged.

Atomic structure:
Cell: 2.773 4.135 8.366 Å, 90.00 90.00 90.00°
Space group Immm (No. 71)
Inequivalent atoms, fractional coordinates:
Co: 0.000 0.000 0.225 (multiplicity 4)
Si: 0.000 0.500 0.500 (multiplicity 2)
Ir: 0.000 0.500 0.000 (multiplicity 2)

Top 6 peaks for 2θ = 10–80°, by angle:
24.01°, d = 3.707 Å, I 45; 34.06°, d = 2.632 Å, I 31; 38.96°, d = 2.312 Å, I 32; 43.26°, d = 2.091 Å, I 25; 43.79°, d = 2.067 Å, I 28; 44.93°, d = 2.018 Å, I 100

---

Simulated X-ray powder pattern
Compound: Pr12SmY5
Radiation: CuKα
Structure: a GGA-PBE-relaxed structure
Lines closer than 0.1° are merged.

Atomic structure:
Cell: 15.534 15.607 5.204 Å, 90.00 90.00 90.00°
Space group Cmmm (No. 65)
Inequivalent atoms, fractional coordinates:
Pr: 0.165 0.000 0.000 (multiplicity 4)
Pr: 0.166 0.167 0.500 (multiplicity 8)
Pr: 0.166 0.333 0.000 (multiplicity 8)
Pr: 0.166 0.500 0.500 (multiplicity 4)
Sm: 0.000 0.500 0.000 (multiplicity 2)
Y: 0.000 0.000 0.500 (multiplicity 2)
Y: 0.000 0.167 0.000 (multiplicity 4)
Y: 0.000 0.333 0.500 (multiplicity 4)

Top 6 peaks for 2θ = 10–80°, by angle:
29.79°, d = 2.999 Å, I 100; 34.47°, d = 2.602 Å, I 34; 34.65°, d = 2.589 Å, I 17; 49.68°, d = 1.835 Å, I 24; 58.89°, d = 1.568 Å, I 29; 59.12°, d = 1.563 Å, I 14

---

Simulated X-ray powder pattern
Compound: CaPr2Y4Er
Radiation: CuKα
Structure: a GGA-PBE-relaxed structure
Lines closer than 0.1° are merged.

Atomic structure:
Cell: 12.592 7.241 12.604 Å, 90.00 109.54 90.00°
Space group C2/m (No. 12)
Inequivalent atoms, fractional coordinates:
Ca: 0.250 0.250 0.000 (multiplicity 4)
Pr: 0.000 0.000 0.000 (multiplicity 2)
Pr: 0.000 0.000 0.500 (multiplicity 2)
Pr: 0.250 0.250 0.500 (multiplicity 4)
Y: 0.003 0.251 0.250 (multiplicity 8)
Y: 0.250 0.000 0.257 (multiplicity 4)
Y: 0.250 0.000 0.744 (multiplicity 4)
Er: 0.000 0.500 0.000 (multiplicity 2)
Er: 0.000 0.500 0.500 (multiplicity 2)

Top 6 peaks for 2θ = 10–80°, by angle:
30.15°, d = 2.964 Å, I 100; 34.88°, d = 2.573 Å, I 17; 34.99°, d = 2.565 Å, I 33; 50.23°, d = 1.816 Å, I 29; 59.71°, d = 1.549 Å, I 14; 59.85°, d = 1.545 Å, I 14

---

Simulated X-ray powder pattern
Compound: BeOsPt2
Radiation: CuKα
Structure: a GGA-PBE-relaxed structure
Lines closer than 0.1° are merged.

Atomic structure:
Cell: 2.744 3.920 5.249 Å, 90.00 102.08 90.00°
Space group P2/m (No. 10)
Inequivalent atoms, fractional coordinates:
Be: 0.000 0.000 0.000 (multiplicity 1)
Os: 0.000 0.000 0.500 (multiplicity 1)
Pt: 0.385 0.500 0.238 (multiplicity 2)

Top 6 peaks for 2θ = 10–80°, by angle:
28.65°, d = 3.115 Å, I 37; 40.75°, d = 2.214 Å, I 77; 41.54°, d = 2.174 Å, I 54; 42.08°, d = 2.147 Å, I 100; 43.39°, d = 2.085 Å, I 37; 46.32°, d = 1.960 Å, I 39

---

Simulated X-ray powder pattern
Compound: Na2ZnPb
Radiation: CuKα
Structure: a GGA-PBE-relaxed structure
Lines closer than 0.1° are merged.

Atomic structure:
Cell: 3.4923 3.4923 31.0911 Å, 90.00 90.00 120.00°
Space group R3m (No. 160, hexagonal axes)
Inequivalent atoms, fractional coordinates:
Na: 0.0000 0.0000 0.0000 (multiplicity 3)
Na: 0.0000 0.0000 0.1767 (multiplicity 3)
Zn: 0.0000 0.0000 0.5886 (multiplicity 3)
Pb: 0.0000 0.0000 0.4216 (multiplicity 3)

Top 6 peaks for 2θ = 10–80°, by angle:
17.11°, d = 5.182 Å, I 100; 29.68°, d = 3.010 Å, I 77; 30.10°, d = 2.969 Å, I 48; 31.75°, d = 2.819 Å, I 47; 32.93°, d = 2.720 Å, I 97; 35.92°, d = 2.500 Å, I 73

---

Simulated X-ray powder pattern
Compound: HoUTe3
Radiation: CuKα
Structure: a GGA-PBE-relaxed structure
Lines closer than 0.1° are merged.

Atomic structure:
Cell: 4.222 14.242 10.688 Å, 90.00 90.00 90.00°
Space group Cmcm (No. 63)
Inequivalent atoms, fractional coordinates:
Ho: 0.000 0.000 0.000 (multiplicity 4)
U: 0.000 0.247 0.250 (multiplicity 4)
Te: 0.000 0.093 0.750 (multiplicity 4)
Te: 0.000 0.352 0.564 (multiplicity 8)

Top 6 peaks for 2θ = 10–80°, by angle:
20.78°, d = 4.274 Å, I 67; 28.29°, d = 3.155 Å, I 50; 29.52°, d = 3.026 Å, I 100; 32.97°, d = 2.717 Å, I 66; 33.52°, d = 2.674 Å, I 90; 41.63°, d = 2.169 Å, I 55

---

Simulated X-ray powder pattern
Compound: Ti5CuRu4
Radiation: CuKα
Structure: a GGA-PBE-relaxed structure
Lines closer than 0.1° are merged.

Atomic structure:
Cell: 3.079 3.079 15.479 Å, 90.00 90.00 90.00°
Space group P4/mmm (No. 123)
Inequivalent atoms, fractional coordinates:
Ti: 0.000 0.000 0.000 (multiplicity 1)
Ti: 0.000 0.000 0.200 (multiplicity 2)
Ti: 0.000 0.000 0.399 (multiplicity 2)
Cu: 0.500 0.500 0.500 (multiplicity 1)
Ru: 0.500 0.500 0.100 (multiplicity 2)
Ru: 0.500 0.500 0.300 (multiplicity 2)

Top 6 peaks for 2θ = 10–80°, by angle:
29.00°, d = 3.079 Å, I 15; 41.36°, d = 2.183 Å, I 100; 41.48°, d = 2.177 Å, I 50; 60.10°, d = 1.539 Å, I 16; 75.34°, d = 1.262 Å, I 15; 75.58°, d = 1.258 Å, I 31

---

Simulated X-ray powder pattern
Compound: SmAg2B2O6
Radiation: CuKα
Structure: a GGA-PBE-relaxed structure
Lines closer than 0.1° are merged.

Atomic structure:
Cell: 5.3970 5.3970 6.1967 Å, 90.00 90.00 120.00°
Space group P-3 (No. 147)
Inequivalent atoms, fractional coordinates:
Sm: 0.0000 0.0000 0.0000 (multiplicity 1)
Ag: 0.3333 0.6667 0.2966 (multiplicity 2)
B: 0.3333 0.6667 0.7751 (multiplicity 2)
O: 0.1030 0.3909 0.7761 (multiplicity 6)

Top 6 peaks for 2θ = 10–80°, by angle:
23.85°, d = 3.731 Å, I 100; 33.20°, d = 2.698 Å, I 53; 34.74°, d = 2.582 Å, I 60; 41.29°, d = 2.187 Å, I 37; 48.81°, d = 1.866 Å, I 22; 53.97°, d = 1.699 Å, I 28

---

Simulated X-ray powder pattern
Compound: Er12Tm5Zr2
Radiation: CuKα
Structure: a GGA-PBE-relaxed structure
Lines closer than 0.1° are merged.

Atomic structure:
Cell: 17.845 7.294 9.377 Å, 90.00 109.03 90.00°
Space group C2/m (No. 12)
Inequivalent atoms, fractional coordinates:
Er: 0.006 0.000 0.184 (multiplicity 4)
Er: 0.019 0.500 0.691 (multiplicity 4)
Er: 0.157 0.255 0.378 (multiplicity 8)
Er: 0.158 0.252 0.007 (multiplicity 8)
Tm: 0.000 0.500 0.000 (multiplicity 2)
Tm: 0.186 0.000 0.710 (multiplicity 4)
Tm: 0.202 0.500 0.713 (multiplicity 4)
Zr: 0.000 0.176 0.500 (multiplicity 4)

Top 6 peaks for 2θ = 10–80°, by angle:
29.72°, d = 3.006 Å, I 31; 30.24°, d = 2.955 Å, I 18; 30.77°, d = 2.906 Å, I 18; 31.81°, d = 2.813 Å, I 100; 32.46°, d = 2.759 Å, I 36; 50.01°, d = 1.824 Å, I 20

---

Simulated X-ray powder pattern
Compound: Ag2H3Pd9
Radiation: CuKα
Structure: a GGA-PBE-relaxed structure
Lines closer than 0.1° are merged.

Atomic structure:
Cell: 7.547 7.576 7.611 Å, 69.65 86.11 64.34°
Space group P1 (No. 1)
Inequivalent atoms, fractional coordinates:
Ag: 0.000 0.000 0.000 (multiplicity 1)
Ag: 0.142 0.959 0.358 (multiplicity 1)
Ag: 0.452 0.187 0.548 (multiplicity 1)
Ag: 0.690 0.779 0.817 (multiplicity 1)
H: 0.056 0.795 0.664 (multiplicity 1)
H: 0.079 0.166 0.695 (multiplicity 1)
H: 0.084 0.480 0.187 (multiplicity 1)
H: 0.520 0.063 0.347 (multiplicity 1)
H: 0.525 0.602 0.744 (multiplicity 1)
H: 0.588 0.952 0.107 (multiplicity 1)
Pd: 0.039 0.330 0.447 (multiplicity 1)
Pd: 0.099 0.631 0.910 (multiplicity 1)
Pd: 0.179 0.276 0.817 (multiplicity 1)
Pd: 0.235 0.592 0.269 (multiplicity 1)
Pd: 0.277 0.907 0.728 (multiplicity 1)
Pd: 0.314 0.233 0.171 (multiplicity 1)
Pd: 0.364 0.545 0.632 (multiplicity 1)
Pd: 0.411 0.861 0.089 (multiplicity 1)
Pd: 0.506 0.502 0.001 (multiplicity 1)
Pd: 0.554 0.805 0.456 (multiplicity 1)
Pd: 0.589 0.150 0.903 (multiplicity 1)
Pd: 0.636 0.457 0.358 (multiplicity 1)
Pd: 0.733 0.098 0.270 (multiplicity 1)
Pd: 0.776 0.412 0.724 (multiplicity 1)
Pd: 0.826 0.727 0.185 (multiplicity 1)
Pd: 0.863 0.056 0.630 (multiplicity 1)
Pd: 0.907 0.368 0.089 (multiplicity 1)
Pd: 0.961 0.684 0.541 (multiplicity 1)

Top 6 peaks for 2θ = 10–80°, by angle:
38.37°, d = 2.346 Å, I 34; 38.51°, d = 2.337 Å, I 100; 44.30°, d = 2.045 Å, I 22; 44.85°, d = 2.021 Å, I 22; 45.04°, d = 2.013 Å, I 21; 64.88°, d = 1.437 Å, I 21

---

Simulated X-ray powder pattern
Compound: Sr5Li
Radiation: CuKα
Structure: a GGA-PBE-relaxed structure
Lines closer than 0.1° are merged.

Atomic structure:
Cell: 6.473 4.738 19.379 Å, 90.00 90.00 90.00°
Space group Amm2 (No. 38)
Inequivalent atoms, fractional coordinates:
Sr: 0.000 0.000 0.000 (multiplicity 2)
Sr: 0.000 0.000 0.312 (multiplicity 2)
Sr: 0.500 0.000 0.156 (multiplicity 2)
Sr: 0.500 0.000 0.488 (multiplicity 2)
Sr: 0.500 0.000 0.825 (multiplicity 2)
Li: 0.000 0.000 0.656 (multiplicity 2)

Top 6 peaks for 2θ = 10–80°, by angle:
27.10°, d = 3.290 Å, I 100; 27.59°, d = 3.233 Å, I 47; 39.41°, d = 2.286 Å, I 17; 47.58°, d = 1.911 Å, I 21; 48.48°, d = 1.878 Å, I 38; 55.89°, d = 1.645 Å, I 12